No. 1
Theoretical PXRD pattern of K2ScCu2O4 for Cu Kα (weighted mean of Kα1 and Kα2), from a crystal structure in Alexandria, relaxed with GGA-PBE.
Intensities are scaled so that the largest is 100.

Principal peaks in the range 2θ = 5–70°, by angle:
hkl 0 0 1, 14.50°, I = 100
hkl 0 0 2, 29.24°, I = 41
hkl 4 0 -2, 33.86°, I = 15
hkl 3 1 -1, 35.31°, I = 59
hkl 4 0 1, 36.53°, I = 26
hkl 2 0 2, 36.79°, I = 14
hkl 3 1 1, 41.00°, I = 37
hkl 3 1 -2, 41.32°, I = 59
hkl 3 1 -3, 51.49°, I = 31
hkl 0 2 0, 56.81°, I = 18

Structure:
abc: 13.107 3.241 6.459
angles: 90.00 108.97 90.00
Space group C2/m (No. 12)
Unique sites:
K (0.124, 0.000, 0.047) x4
Sc (0.000, 0.000, 0.500) x2
Cu (0.186, 0.500, 0.535) x4
O (0.028, 0.500, 0.304) x4
O (0.179, 0.000, 0.687) x4

---

No. 2
Theoretical PXRD pattern of LaSm4Tm for Cu Kα (weighted mean of Kα1 and Kα2), from a crystal structure in Alexandria, relaxed with GGA-PBE.
Intensities are scaled so that the largest is 100.

Principal peaks in the range 2θ = 5–70°, by angle:
hkl 2 0 2, 30.17°, I = 100
hkl 4 0 -2, 30.27°, I = 33
hkl 3 1 0, 34.97°, I = 45
hkl 2 0 -4, 35.08°, I = 22
hkl 0 2 0, 50.27°, I = 24
hkl 6 0 0, 50.41°, I = 24
hkl 5 1 2, 59.73°, I = 19
hkl 4 2 -2, 59.80°, I = 14
hkl 7 1 -2, 59.90°, I = 19
hkl 2 2 -4, 62.73°, I = 12

Structure:
abc: 12.001 3.633 10.233
angles: 90.00 115.03 90.00
Space group C2/m (No. 12)
Unique sites:
La (0.000, 0.000, 0.000) x2
Sm (0.166, 0.500, 0.829) x4
Sm (0.167, 0.500, 0.338) x4
Tm (0.000, 0.000, 0.500) x2

---

No. 3
Theoretical PXRD pattern of PRh2O6 for Cu Kα (weighted mean of Kα1 and Kα2), from a crystal structure in Alexandria, relaxed with GGA-PBE.
Intensities are scaled so that the largest is 100.

Principal peaks in the range 2θ = 5–70°, by angle:
hkl 1 0 1, 22.40°, I = 94
hkl 1 1 0, 26.68°, I = 100
hkl 1 1 2, 34.56°, I = 95
hkl 0 1 3, 37.45°, I = 45
hkl 1 0 3, 38.32°, I = 37
hkl 0 2 2, 42.62°, I = 27
hkl 1 2 3, 53.82°, I = 27
hkl 2 2 0, 54.97°, I = 33
hkl 2 1 3, 55.79°, I = 57
hkl 1 0 5, 59.70°, I = 35

Structure:
abc: 4.530 4.947 8.242
angles: 90.00 90.00 90.00
Space group Pnnm (No. 58)
Unique sites:
P (0.000, 0.000, 0.000) x2
Rh (0.000, 0.500, 0.185) x4
O (0.206, 0.295, 0.000) x4
O (0.219, 0.849, 0.148) x8

---

No. 4
Theoretical PXRD pattern of Ac2HfNiS6 for Cu Kα (weighted mean of Kα1 and Kα2), from a crystal structure in Alexandria, relaxed with GGA-PBE.
Intensities are scaled so that the largest is 100.

Principal peaks in the range 2θ = 5–70°, by angle:
hkl 0 0 2, 16.08°, I = 13
hkl 1 1 2, 25.17°, I = 100
hkl 2 0 0, 27.33°, I = 42
hkl 2 0 2, 31.87°, I = 19
hkl 0 0 4, 32.49°, I = 16
hkl 1 1 4, 38.03°, I = 15
hkl 2 2 0, 39.04°, I = 33
hkl 2 0 4, 42.96°, I = 26
hkl 3 1 2, 47.02°, I = 38
hkl 2 2 4, 51.67°, I = 17

Structure:
abc: 6.526 6.526 11.023
angles: 90.00 90.00 90.00
Space group I4mm (No. 107)
Unique sites:
Ac (0.000, 0.500, 0.000) x4
Hf (0.000, 0.000, 0.207) x2
Ni (0.000, 0.000, 0.725) x2
S (0.000, 0.000, 0.427) x2
S (0.000, 0.000, 0.957) x2
S (0.234, 0.234, 0.678) x8

---

No. 5
Theoretical PXRD pattern of Al3Ag5 for Cu Kα (weighted mean of Kα1 and Kα2), from a crystal structure in Alexandria, relaxed with GGA-PBE.
Intensities are scaled so that the largest is 100.

Principal peaks in the range 2θ = 5–70°, by angle:
hkl 0 2 0, 22.14°, I = 32
hkl 2 0 -1, 30.62°, I = 14
hkl 0 0 2, 30.79°, I = 14
hkl 2 2 -1, 38.11°, I = 100
hkl 0 2 2, 38.25°, I = 99
hkl 2 0 1, 43.64°, I = 35
hkl 2 0 -3, 44.32°, I = 32
hkl 0 4 0, 45.16°, I = 30
hkl 2 4 1, 64.61°, I = 20
hkl 2 4 -3, 65.13°, I = 19

Structure:
abc: 5.839 8.031 6.462
angles: 90.00 116.01 90.00
Space group C2/m (No. 12)
Unique sites:
Al (0.000, 0.000, 0.000) x2
Al (0.248, 0.500, 0.497) x4
Ag (0.000, 0.500, 0.000) x2
Ag (0.127, 0.250, 0.746) x8

---

No. 6
Theoretical PXRD pattern of Pm6AgPt5 for Cu Kα (weighted mean of Kα1 and Kα2), from a crystal structure in Alexandria, relaxed with GGA-PBE.
Intensities are scaled so that the largest is 100.

Principal peaks in the range 2θ = 5–70°, by angle:
hkl 1 0 3, 24.66°, I = 1
hkl 0 1 5, 31.70°, I = 1
hkl 0 0 6, 35.07°, I = 20
hkl 2 0 0, 35.24°, I = 100
hkl 2 1 5, 48.13°, I = 1
hkl 2 0 6, 50.57°, I = 14
hkl 0 4 0, 50.80°, I = 7
hkl 1 2 9, 63.02°, I = 14
hkl 3 2 3, 63.24°, I = 22
hkl 2 4 0, 63.33°, I = 7

Structure:
abc: 5.093 7.190 15.350
angles: 90.00 90.00 90.00
Space group Immm (No. 71)
Unique sites:
Pm (0.000, 0.240, 0.000) x4
Pm (0.000, 0.255, 0.330) x8
Ag (0.000, 0.000, 0.500) x2
Pt (0.000, 0.000, 0.171) x4
Pt (0.000, 0.500, 0.156) x4
Pt (0.000, 0.500, 0.500) x2